For Ti4SbSe, a structure optimized by DFT (PBE) gives the computed XRD peak list in this record (Cu Kα).

Principal peaks in the range 2θ from 10° to 90°, by intensity:
Position (°2θ)	I (rel.)
39.34	100
44.62	66
34.63	66
28.03	63
43.40	42
34.29	38
38.33	34
24.03	33
26.96	32
32.11	29

```
Ti4SbSe
1.0
6.7731 -2.5472 0.0000
6.7731 2.5472 0.0000
-1.4283 0.0000 6.4967
Ti Sb Se
8 2 2
direct
0.0420 0.8153 0.5752 Ti
0.1828 0.4717 0.8705 Ti
0.1847 0.9580 0.9248 Ti
0.4717 0.1828 0.3705 Ti
0.5283 0.8172 0.6295 Ti
0.8153 0.0420 0.0752 Ti
0.8172 0.5283 0.1295 Ti
0.9580 0.1847 0.4248 Ti
0.3785 0.6215 0.2500 Sb
0.6215 0.3785 0.7500 Sb
0.0000 0.5000 0.5000 Se
0.5000 0.0000 0.0000 Se
```

For AlAgC, a structure optimized by DFT (PBE) gives the computed XRD peak list in this record (Cu Kα).

Principal peaks in the range 2θ from 10° to 90°, by intensity:
Position (°2θ)	I (rel.)
36.89	100
36.72	50
45.12	43
35.03	42
39.67	41
34.29	38
60.19	24
45.01	22
39.54	21
34.11	20

```
AlAgC
1.0
3.0600 0.0000 0.0000
-1.5291 2.6673 0.0000
-1.5245 -0.8960 10.2476
Al Ag C
2 2 2
direct
0.2190 0.1089 0.3299 Al
0.7810 0.8911 0.6701 Al
0.4113 0.7058 0.1184 Ag
0.5887 0.2942 0.8816 Ag
0.0434 0.5196 0.5652 C
0.9566 0.4804 0.4348 C
```

For Sm7Ho3In, a structure optimized by DFT (PBE) gives the computed XRD peak list in this record (Cu Kα).

Principal peaks in the range 2θ from 10° to 90°, by intensity:
Position (°2θ)	I (rel.)
31.14	100
36.17	67
31.34	33
61.94	28
51.95	24
52.22	23
61.82	14
62.18	14
64.93	12
84.91	12

```
Sm7Ho3In
1.0
7.0410 0.0000 0.0000
-3.5205 6.0977 0.0000
0.0000 0.0000 8.5618
Sm Ho In
7 3 1
direct
0.0000 0.0000 0.0000 Sm
0.0040 0.5020 0.9912 Sm
0.3282 0.1641 0.6612 Sm
0.4980 0.5020 0.9912 Sm
0.4980 0.9960 0.9912 Sm
0.8359 0.1641 0.6612 Sm
0.8359 0.6718 0.6612 Sm
0.1664 0.3329 0.3293 Ho
0.1664 0.8336 0.3293 Ho
0.6671 0.8336 0.3293 Ho
0.3333 0.6667 0.6532 In
```

Which formula does entry 2 have? AlAgC